Calculated X-ray powder pattern
Compound: SnH6CNCl3
Radiation: copper Kα
Structure: the PBE geometry in the Materials Project
Intensities are scaled so that the largest is 100.

Cell and atoms:
```
12
Lattice="5.9201 0.0000 0.0000 0.0000 5.6616 0.0000 -0.0115 0.0000 5.9804" Properties=species:S:1:pos:R:3 pbc="T T T"
Sn 0.0000 0.0000 0.0000
H 2.2306 1.9324 2.7157
H 2.2306 3.7292 2.7157
H 2.6350 2.8308 4.2137
H 4.2847 2.8308 1.7043
H 4.6349 1.9900 3.0974
H 4.6349 3.6716 3.0974
C 2.7040 2.8308 3.1215
N 4.1441 2.8308 2.7340
Cl 3.3898 0.0000 0.2683
Cl 5.7517 0.0000 3.3447
Cl 5.7606 2.8308 5.8776
```

The 12 most intense peaks (10° ≤ 2θ ≤ 90°), in order of rising 2θ:
- 14.81 deg, I = 70.4, (0 0 1)
- 14.96 deg, I = 100.0, (1 0 0)
- 15.65 deg, I = 61.0, (0 1 0)
- 21.12 deg, I = 52.6, (1 0 1)
- 21.61 deg, I = 53.2, (0 1 1)
- 21.72 deg, I = 43.8, (1 1 0)
- 29.88 deg, I = 52.3, (0 0 2)
- 30.19 deg, I = 37.1, (2 0 0)
- 31.61 deg, I = 50.1, (0 2 0)
- 33.78 deg, I = 30.3, (2 0 -1)
- 35.11 deg, I = 47.0, (1 2 0)
- 44.05 deg, I = 31.5, (0 2 2)